Calculated powder diffractogram of NaMnPO4 for λ = 1.5418 Å (Cu Kα), from DFT lattice parameters and positions (GGA+U).

Crystal structure
```
data_NaMnPO4
_space_group_name_H-M_alt 'P n m a'
_space_group_IT_number 62
_cell_length_a 9.212
_cell_length_b 6.976
_cell_length_c 5.172
_cell_angle_alpha 90.00
_cell_angle_beta 90.00
_cell_angle_gamma 90.00
loop_
_space_group_symop_operation_xyz
'x,y,z'
'-x,-y,-z'
'-x+1/2,-y,z+1/2'
'x+1/2,y,-z+1/2'
'x+1/2,-y+1/2,-z+1/2'
'-x+1/2,y+1/2,z+1/2'
'-x,y+1/2,-z'
'x,-y+1/2,z'
loop_
_atom_site_label
_atom_site_type_symbol
_atom_site_fract_x
_atom_site_fract_y
_atom_site_fract_z
_atom_site_occupancy
Na1 Na 0.150 0.250 0.027 1
Mn1 Mn 0.000 0.000 0.500 1
P1 P 0.176 0.750 0.029 1
O1 O 0.120 0.750 0.743 1
O2 O 0.121 0.569 0.170 1
O3 O 0.153 0.250 0.543 1
```

Peak list (10 most intense, 10 to 80 degrees two-theta, in order of rising 2θ)
(hkl), two_theta, Rel. int.
1 0 1, 19.69, 25.8
1 1 1, 23.49, 36.5
2 2 0, 32.19, 84.0
1 2 1, 32.45, 93.6
3 0 1, 33.95, 100.0
0 0 2, 34.69, 33.9
4 2 0, 47.30, 29.0
2 2 2, 48.05, 47.4
0 4 0, 52.46, 24.8
4 2 2, 59.97, 24.6